# 1
Computed powder XRD pattern
Compound: ThFe2Re
Radiation: Cu Kα (λ = 1.5418 Å)
Structure: a DFT-relaxed cell (GGA-PBE, Alexandria)
Peak positions follow from Bragg's law for the DFT cell and can differ from measured ones.

Lattice parameters (Å, degrees): 4.0438 4.0438 15.1381 90.00 90.00 120.00
Space group R-3m (No. 166, hexagonal axes)
Inequivalent atoms, fractional coordinates:
Th 0.0000 0.0000 0.0000
Fe 0.0000 0.0000 0.2067
Re 0.0000 0.0000 0.5000

The 10 most intense peaks (2θ from 10° to 80°), low angle first:
d = 3.178 Å, 2θ 28.1, intensity 76, hkl 0 1 2
d = 2.570 Å, 2θ 34.9, intensity 100, hkl 1 0 4
d = 2.523 Å, 2θ 35.6, intensity 25, hkl 0 0 6
d = 2.022 Å, 2θ 44.8, intensity 64, hkl 1 1 0
d = 1.706 Å, 2θ 53.7, intensity 14, hkl 2 0 2
d = 1.665 Å, 2θ 55.2, intensity 15, hkl 0 1 8
d = 1.589 Å, 2θ 58.0, intensity 23, hkl 0 2 4
d = 1.578 Å, 2θ 58.5, intensity 37, hkl 1 1 6
d = 1.390 Å, 2θ 67.4, intensity 18, hkl 1 0 10
d = 1.249 Å, 2θ 76.2, intensity 21, hkl 2 1 4



# 2
Computed powder XRD pattern
Compound: Th8Fe2Re
Radiation: Cu Kα (λ = 1.5418 Å)
Structure: a DFT-relaxed cell (GGA-PBE, Alexandria)
Peak positions follow from Bragg's law for the DFT cell and can differ from measured ones.

Lattice parameters (Å, degrees): 5.9311 7.0407 8.1219 113.86 101.68 98.43
Space group P-1 (No. 2)
Inequivalent atoms, fractional coordinates:
Th 0.0070 0.2386 0.1820
Th 0.1906 0.8611 0.3891
Th 0.3609 0.4311 0.6354
Th 0.4406 0.2090 0.9145
Fe 0.4685 0.1841 0.2698
Re 0.0000 0.5000 0.0000

The 10 most intense peaks (2θ from 10° to 80°), low angle first:
d = 3.171 Å, 2θ 28.1, intensity 24, hkl 1 -2 1
d = 3.008 Å, 2θ 29.7, intensity 25, hkl 1 -1 2
d = 2.916 Å, 2θ 30.7, intensity 53, hkl 2 0 -1
d = 2.846 Å, 2θ 31.4, intensity 15, hkl 2 -1 0
d = 2.810 Å, 2θ 31.8, intensity 62, hkl 1 1 1
d = 2.739 Å, 2θ 32.7, intensity 100, hkl 1 2 -2
d = 2.644 Å, 2θ 33.9, intensity 33, hkl 0 1 -3
d = 2.568 Å, 2θ 34.9, intensity 23, hkl -1 2 1
d = 2.199 Å, 2θ 41.0, intensity 18, hkl 1 -3 2
d = 1.576 Å, 2θ 58.6, intensity 20, hkl 3 2 -3



# 3
Computed powder XRD pattern
Compound: Ti4FeRe2
Radiation: Cu Kα (λ = 1.5418 Å)
Structure: a DFT-relaxed cell (GGA-PBE, Alexandria)
Peak positions follow from Bragg's law for the DFT cell and can differ from measured ones.

Lattice parameters (Å, degrees): 4.3773 4.3773 12.6538 90.00 90.00 90.00
Space group I4/mmm (No. 139)
Inequivalent atoms, fractional coordinates:
Ti 0.0000 0.0000 0.1882
Ti 0.0000 0.5000 0.0000
Fe 0.0000 0.0000 0.0000
Re 0.0000 0.0000 0.3778

The 10 most intense peaks (2θ from 10° to 80°), low angle first:
d = 4.137 Å, 2θ 21.5, intensity 40, hkl 1 0 1
d = 3.095 Å, 2θ 28.8, intensity 64, hkl 1 1 0
d = 3.037 Å, 2θ 29.4, intensity 31, hkl 1 0 3
d = 2.212 Å, 2θ 40.8, intensity 45, hkl 1 1 4
d = 2.190 Å, 2θ 41.2, intensity 100, hkl 2 0 0
d = 1.935 Å, 2θ 47.0, intensity 11, hkl 2 1 1
d = 1.776 Å, 2θ 51.5, intensity 14, hkl 2 1 3
d = 1.548 Å, 2θ 59.7, intensity 49, hkl 2 2 0
d = 1.384 Å, 2θ 67.7, intensity 11, hkl 3 1 0
d = 1.268 Å, 2θ 74.9, intensity 15, hkl 3 1 4



# 4
Computed powder XRD pattern
Compound: VFeRe
Radiation: Cu Kα (λ = 1.5418 Å)
Structure: a DFT-relaxed cell (GGA-PBE, Alexandria)
Peak positions follow from Bragg's law for the DFT cell and can differ from measured ones.

Lattice parameters (Å, degrees): 3.0095 3.0095 8.8052 90.00 90.00 90.00
Space group I4mm (No. 107)
Inequivalent atoms, fractional coordinates:
V 0.0000 0.0000 0.0000
Fe 0.0000 0.0000 0.3396
Re 0.0000 0.0000 0.6674

The 10 most intense peaks (2θ from 10° to 80°), low angle first:
d = 4.403 Å, 2θ 20.2, intensity 31, hkl 0 0 2
d = 2.848 Å, 2θ 31.4, intensity 47, hkl 1 0 1
d = 2.128 Å, 2θ 42.5, intensity 52, hkl 1 1 0
d = 2.101 Å, 2θ 43.0, intensity 100, hkl 1 0 3
d = 1.916 Å, 2θ 47.5, intensity 15, hkl 1 1 2
d = 1.530 Å, 2θ 60.5, intensity 9, hkl 1 1 4
d = 1.505 Å, 2θ 61.6, intensity 17, hkl 2 0 0
d = 1.330 Å, 2θ 70.8, intensity 10, hkl 2 1 1
d = 1.223 Å, 2θ 78.1, intensity 33, hkl 2 1 3
d = 1.208 Å, 2θ 79.3, intensity 16, hkl 1 1 6